Computed PXRD pattern of Tl5I2F3 for Cu Ka, from a PBE-relaxed structure.

Structural model:
```
Tl5I2F3
1.0
7.8875 -2.2800 0.0000
7.8875 2.2800 0.0000
-4.1674 0.0000 9.2950
Tl I F
5 2 3
direct
0.0000 0.0000 0.0000
0.0986 0.0986 0.4324
0.3659 0.3659 0.2341
0.6341 0.6341 0.7659
0.9014 0.9014 0.5676
0.3318 0.3318 0.7687
0.6682 0.6682 0.2313
0.0555 0.0555 0.7792
0.5000 0.5000 0.5000
0.9445 0.9445 0.2208
```

Peak list (10 most intense, 2θ = 10–80°, sorted by position)
d 3.599, rel. 34
d 3.435, rel. 96
d 3.392, rel. 99
d 3.332, rel. 47
d 3.305, rel. 69
d 3.145, rel. 74
d 3.043, rel. 42
d 2.995, rel. 100
d 2.280, rel. 49
d 1.860, rel. 39